# 1
Starting from a DFT-relaxed cell (GGA-PBE, Alexandria), the XRD peak list of La8Ga2Co was calculated for Cu Ka.
Lines closer than 0.1° are merged.

Crystal structure
```
data_La8Ga2Co
_chemical_formula_sum 'La8 Ga2 Co1'
_cell_length_a 9.7533
_cell_length_b 9.7533
_cell_length_c 6.8093
_cell_angle_alpha 109.59
_cell_angle_beta 109.59
_cell_angle_gamma 31.99
_space_group_name_H-M_alt 'P 1'
_space_group_IT_number 1
loop_
_space_group_symop_operation_xyz
'x,y,z'
loop_
_atom_site_label
_atom_site_type_symbol
_atom_site_fract_x
_atom_site_fract_y
_atom_site_fract_z
La1 La 0.0097 0.0097 0.2906
La2 La 0.2139 0.2139 0.7684
La3 La 0.3474 0.3474 0.5631
La4 La 0.4119 0.4119 0.0971
La5 La 0.5881 0.5881 0.9029
La6 La 0.6526 0.6526 0.4369
La7 La 0.7861 0.7861 0.2316
La8 La 0.9903 0.9903 0.7094
Ga1 Ga 0.1739 0.1739 0.1944
Ga2 Ga 0.8261 0.8261 0.8056
Co1 Co 0.5000 0.5000 0.5000
```

The 6 most intense peaks (2θ = 10–90°), in order of rising 2θ:
d [Å]  two_theta  I/Imax
3.104  28.76  40
3.058  29.21  74
2.942  30.39  91
2.687  33.34  100
2.595  34.57  89
2.569  34.93  62

***

# 2
Starting from a DFT-relaxed cell (GGA-PBE, Alexandria), the XRD peak list of ErCd4 was calculated for Cu Ka.
Lines closer than 0.1° are merged.

Crystal structure
```
data_ErCd4
_chemical_formula_sum 'Er2 Cd8'
_cell_length_a 8.4532
_cell_length_b 8.4532
_cell_length_c 8.4532
_cell_angle_alpha 146.75
_cell_angle_beta 134.40
_cell_angle_gamma 57.59
_space_group_name_H-M_alt 'P 1'
_space_group_IT_number 1
loop_
_space_group_symop_operation_xyz
'x,y,z'
loop_
_atom_site_label
_atom_site_type_symbol
_atom_site_fract_x
_atom_site_fract_y
_atom_site_fract_z
Er1 Er 0.3549 0.1049 0.2500
Er2 Er 0.6451 0.8951 0.7500
Cd1 Cd 0.0000 0.5000 0.5000
Cd2 Cd 0.1382 0.8882 0.2500
Cd3 Cd 0.2027 0.6976 0.5051
Cd4 Cd 0.3074 0.3024 0.0051
Cd5 Cd 0.5000 0.5000 0.0000
Cd6 Cd 0.6926 0.6976 0.9949
Cd7 Cd 0.7973 0.3024 0.4949
Cd8 Cd 0.8618 0.1118 0.7500
```

The 6 most intense peaks (2θ = 10–90°), in order of rising 2θ:
d [Å]  two_theta  I/Imax
2.668  33.59  100
2.527  35.53  98
2.454  36.62  43
2.418  37.18  45
1.722  53.18  29
1.374  68.24  27

***

# 3
Starting from a DFT-relaxed cell (GGA-PBE, Alexandria), the XRD peak list of Pm2YTl2Hg2 was calculated for Cu Ka.
Lines closer than 0.1° are merged.

Crystal structure
```
data_Pm2YTl2Hg2
_chemical_formula_sum 'Pm2 Y1 Tl2 Hg2'
_cell_length_a 9.4693
_cell_length_b 9.4693
_cell_length_c 9.4693
_cell_angle_alpha 30.69
_cell_angle_beta 30.69
_cell_angle_gamma 30.69
_space_group_name_H-M_alt 'P 1'
_space_group_IT_number 1
loop_
_space_group_symop_operation_xyz
'x,y,z'
loop_
_atom_site_label
_atom_site_type_symbol
_atom_site_fract_x
_atom_site_fract_y
_atom_site_fract_z
Pm1 Pm 0.1333 0.1333 0.1333
Pm2 Pm 0.8667 0.8667 0.8667
Y1 Y 0.0000 0.0000 0.0000
Tl1 Tl 0.2760 0.2760 0.2760
Tl2 Tl 0.7240 0.7240 0.7240
Hg1 Hg 0.4305 0.4305 0.4305
Hg2 Hg 0.5695 0.5695 0.5695
```

The 6 most intense peaks (2θ = 10–90°), in order of rising 2θ:
d [Å]  two_theta  I/Imax
2.886  30.98  100
2.506  35.83  76
1.892  48.08  30
1.765  51.79  17
1.510  61.39  29
1.447  64.39  14

***

# 4
Starting from a DFT-relaxed cell (GGA-PBE, Alexandria), the XRD peak list of CsNb3O7 was calculated for Cu Ka.
Lines closer than 0.1° are merged.

Crystal structure
```
data_CsNb3O7
_chemical_formula_sum 'Cs1 Nb3 O7'
_cell_length_a 6.7234
_cell_length_b 6.7234
_cell_length_c 6.9837
_cell_angle_alpha 90.00
_cell_angle_beta 90.00
_cell_angle_gamma 120.00
_space_group_name_H-M_alt 'P 1'
_space_group_IT_number 1
loop_
_space_group_symop_operation_xyz
'x,y,z'
loop_
_atom_site_label
_atom_site_type_symbol
_atom_site_fract_x
_atom_site_fract_y
_atom_site_fract_z
Cs1 Cs 0.0000 0.0000 0.0000
Nb1 Nb 0.3682 0.1841 0.5226
Nb2 Nb 0.8159 0.1841 0.5226
Nb3 Nb 0.8159 0.6318 0.5226
O1 O 0.1322 0.2644 0.5958
O2 O 0.1322 0.8678 0.5958
O3 O 0.5295 0.0590 0.3660
O4 O 0.5295 0.4705 0.3660
O5 O 0.6667 0.3333 0.6869
O6 O 0.7356 0.8678 0.5958
O7 O 0.9410 0.4705 0.3660
```

The 6 most intense peaks (2θ = 10–90°), in order of rising 2θ:
d [Å]  two_theta  I/Imax
6.984  12.68  93
5.823  15.22  100
4.472  19.85  82
3.492  25.51  49
3.029  29.49  59
2.687  33.34  92